Record 1
The following is a simulated powder diffraction line list of NaDyCuTe3. It was derived from DFT lattice parameters and positions (PBE), using Cu Ka.

```
data_NaDyCuTe3
_chemical_formula_sum 'Na2 Dy2 Cu2 Te6'
_cell_length_a 8.7643
_cell_length_b 4.1826
_cell_length_c 10.1982
_cell_angle_alpha 90.00
_cell_angle_beta 106.86
_cell_angle_gamma 90.00
_space_group_name_H-M_alt 'P 1 21/m 1'
_space_group_IT_number 11
loop_
_space_group_symop_operation_xyz
'x,y,z'
'-x,-y,-z'
'-x,y+1/2,-z'
'x,-y+1/2,z'
loop_
_atom_site_label
_atom_site_fract_x
_atom_site_fract_y
_atom_site_fract_z
_atom_site_occupancy
Na1 0.2102 0.2500 0.2704 1
Dy1 0.3233 0.7500 0.8428 1
Cu1 0.0813 0.2500 0.5916 1
Te1 0.0763 0.2500 0.8496 1
Te2 0.2314 0.7500 0.5274 1
Te3 0.4216 0.7500 0.1583 1
```

Largest 10 diffraction maxima, in order of rising 2θ, 2θ = 10–90°:
- 2θ 11.75, I 100.0, (1 0 -1)
- 2θ 23.77, I 33.0, (1 1 0)
- 2θ 27.42, I 62.0, (0 0 3)
- 2θ 29.68, I 75.8, (2 1 -1)
- 2θ 30.18, I 57.7, (2 1 0)
- 2θ 34.09, I 37.0, (1 1 -3)
- 2θ 38.69, I 24.4, (2 1 2)
- 2θ 41.35, I 27.1, (4 0 -1)
- 2θ 42.93, I 46.8, (2 1 -4)
- 2θ 43.26, I 29.8, (0 2 0)

Record 2
The following is a simulated powder diffraction line list of DyNb2CuSi2. It was derived from DFT lattice parameters and positions (PBE), using Cu Ka.

```
data_DyNb2CuSi2
_chemical_formula_sum 'Dy1 Nb2 Cu1 Si2'
_cell_length_a 3.9504
_cell_length_b 3.9504
_cell_length_c 7.1536
_cell_angle_alpha 90.00
_cell_angle_beta 90.00
_cell_angle_gamma 90.00
_space_group_name_H-M_alt 'P 4 m m'
_space_group_IT_number 99
loop_
_space_group_symop_operation_xyz
'x,y,z'
'-y,x,z'
'-x,-y,z'
'y,-x,z'
'-x,y,z'
'y,x,z'
'x,-y,z'
'-y,-x,z'
loop_
_atom_site_label
_atom_site_fract_x
_atom_site_fract_y
_atom_site_fract_z
_atom_site_occupancy
Dy1 0.0000 0.0000 0.0000 1
Nb1 0.0000 0.5000 0.6260 1
Cu1 0.5000 0.5000 0.2938 1
Si1 0.0000 0.0000 0.3809 1
Si2 0.5000 0.5000 0.8907 1
```

Largest 10 diffraction maxima, in order of rising 2θ, 2θ = 10–90°:
- 2θ 25.76, I 33.6, (1 0 1)
- 2θ 33.81, I 42.6, (1 0 2)
- 2θ 34.47, I 100.0, (1 1 1)
- 2θ 37.73, I 26.0, (0 0 3)
- 2θ 41.00, I 48.1, (1 1 2)
- 2θ 45.95, I 42.4, (2 0 0)
- 2θ 58.25, I 17.5, (2 1 2)
- 2θ 60.90, I 24.9, (2 0 3)
- 2θ 61.57, I 17.0, (1 1 4)
- 2θ 77.58, I 18.3, (3 1 1)

Please write out number 1 again, unchanged.
The following is a simulated powder diffraction line list of NaDyCuTe3. It was derived from DFT lattice parameters and positions (PBE), using Cu Ka.

```
data_NaDyCuTe3
_chemical_formula_sum 'Na2 Dy2 Cu2 Te6'
_cell_length_a 8.7643
_cell_length_b 4.1826
_cell_length_c 10.1982
_cell_angle_alpha 90.00
_cell_angle_beta 106.86
_cell_angle_gamma 90.00
_space_group_name_H-M_alt 'P 1 21/m 1'
_space_group_IT_number 11
loop_
_space_group_symop_operation_xyz
'x,y,z'
'-x,-y,-z'
'-x,y+1/2,-z'
'x,-y+1/2,z'
loop_
_atom_site_label
_atom_site_fract_x
_atom_site_fract_y
_atom_site_fract_z
_atom_site_occupancy
Na1 0.2102 0.2500 0.2704 1
Dy1 0.3233 0.7500 0.8428 1
Cu1 0.0813 0.2500 0.5916 1
Te1 0.0763 0.2500 0.8496 1
Te2 0.2314 0.7500 0.5274 1
Te3 0.4216 0.7500 0.1583 1
```

Largest 10 diffraction maxima, in order of rising 2θ, 2θ = 10–90°:
- 2θ 11.75, I 100.0, (1 0 -1)
- 2θ 23.77, I 33.0, (1 1 0)
- 2θ 27.42, I 62.0, (0 0 3)
- 2θ 29.68, I 75.8, (2 1 -1)
- 2θ 30.18, I 57.7, (2 1 0)
- 2θ 34.09, I 37.0, (1 1 -3)
- 2θ 38.69, I 24.4, (2 1 2)
- 2θ 41.35, I 27.1, (4 0 -1)
- 2θ 42.93, I 46.8, (2 1 -4)
- 2θ 43.26, I 29.8, (0 2 0)